(1)
This entry pairs a crystal structure of BaMoP2 with its computed powder diffractogram. Radiation: copper Kα. Structure: a structure optimized by DFT (GGA-PBE).
No peak broadening, texture or thermal motion is included.

Crystal structure
Unit cell a=3.6206 b=3.6206 c=15.2730 alpha=90.00 beta=90.00 gamma=120.00
Fractional positions:
Ba  0.0000  0.0000  0.0000
Ba  0.0000  0.0000  0.5000
Mo  0.0000  0.0000  0.2500
Mo  0.0000  0.0000  0.7500
P  0.3333  0.6667  0.1579
P  0.3333  0.6667  0.3421
P  0.6667  0.3333  0.6579
P  0.6667  0.3333  0.8421

Main lines, by angle (2θ from 10° to 80°):
23.3 deg, I = 31, (0 0 4); 28.5 deg, I = 64, (1 0 0); 37.1 deg, I = 100, (1 0 4); 50.4 deg, I = 27, (1 1 0); 56.2 deg, I = 17, (1 1 4); 56.4 deg, I = 25, (1 0 8); 64.2 deg, I = 19, (2 0 4); 71.9 deg, I = 11, (1 1 8)

(2)
This entry pairs a crystal structure of BaMo6S8 with its computed powder diffractogram. Radiation: copper Kα. Structure: a structure optimized by DFT (GGA-PBE).
No peak broadening, texture or thermal motion is included.

Crystal structure
Unit cell a=6.6585 b=6.7316 c=6.7947 alpha=89.11 beta=89.25 gamma=87.91
Fractional positions:
Ba  0.0000  0.0000  0.0000
Mo  0.2418  0.5637  0.4195
Mo  0.4180  0.2335  0.5639
Mo  0.4326  0.5835  0.7668
Mo  0.5674  0.4165  0.2332
Mo  0.5820  0.7665  0.4361
Mo  0.7582  0.4363  0.5805
S  0.1257  0.3916  0.7331
S  0.2610  0.2457  0.2522
S  0.2664  0.8768  0.6133
S  0.3920  0.7302  0.1258
S  0.6080  0.2698  0.8742
S  0.7336  0.1232  0.3867
S  0.7390  0.7543  0.7478
S  0.8743  0.6084  0.2669

Main lines, by angle (2θ from 10° to 80°):
13.0 deg, I = 93, (0 0 1); 13.2 deg, I = 89, (0 1 0); 13.3 deg, I = 100, (1 0 0); 18.4 deg, I = 93, (1 1 0); 18.5 deg, I = 51, (1 0 1); 18.7 deg, I = 74, (0 1 -1); 39.4 deg, I = 69, (2 2 1); 44.5 deg, I = 73, (1 -1 3)